This entry pairs a crystal structure of SrVC2O8 with its calculated powder X-ray diffraction pattern. Radiation: Cu Ka. Structure: DFT lattice parameters and positions (GGA+U).
Peak positions follow from Bragg's law for the DFT cell and can differ from measured ones.

Cell and atoms:
```
data_SrVC2O8
_cell_length_a 4.6410
_cell_length_b 4.6410
_cell_length_c 7.0968
_cell_angle_alpha 90.00
_cell_angle_beta 90.00
_cell_angle_gamma 120.00
_symmetry_space_group_name_H-M 'P -3'
_symmetry_Int_Tables_number 147
loop_
_symmetry_equiv_pos_as_xyz
'x,y,z'
'-x,-y,-z'
'-y,x-y,z'
'y,-x+y,-z'
'-x+y,-x,z'
'x-y,x,-z'
loop_
_atom_site_label
_atom_site_type_symbol
_atom_site_fract_x
_atom_site_fract_y
_atom_site_fract_z
Sr1 Sr 0.0000 0.0000 0.0000
V1 V 0.0000 0.0000 0.5000
C1 C 0.3333 0.6667 0.7200
O1 O 0.0768 0.3575 0.6599
O2 O 0.3333 0.6667 0.9131
```

Principal peaks in the range 2θ = 10–90°, low angle first:
d (Å)  I/Imax  index
4.019  93  1 0 0
3.497  39  1 0 1
2.660  100  0 1 2
2.320  38  1 1 0
2.206  30  1 1 1
1.942  52  2 -1 2
1.749  34  0 2 2
1.623  23  1 0 4
1.409  17  1 1 4
1.397  24  2 1 2